Entry 1:
Diffraction record for ErMn4B2. The powder X-ray diffraction pattern is simulated, not measured: it uses DFT lattice parameters and positions (GGA-PBE) and Cu Kα, 1.54184 Å.
Intensities are scaled so that the largest is 100.

Structural model:
```
data_ErMn4B2
_space_group_name_H-M_alt 'C m m m'
_space_group_IT_number 65
_space_group_name_Hall '-C 2 2'
_cell_length_a 3.731
_cell_length_b 12.070
_cell_length_c 3.709
_cell_angle_alpha 90.00
_cell_angle_beta 90.00
_cell_angle_gamma 90.00
loop_
_atom_site_label
_atom_site_type_symbol
_atom_site_fract_x
_atom_site_fract_y
_atom_site_fract_z
Er1 Er 0.000 0.000 0.000
Mn1 Mn 0.000 0.191 0.500
Mn2 Mn 0.000 0.306 0.000
B1 B 0.000 0.386 0.500
```

Main lines, low angle first (2θ = 15–90°):
Position (°2θ)  I (rel.)  h k l
23.99  17  0 0 1
24.98  35  1 1 0
28.24  28  0 2 1
29.60  15  0 4 0
32.73  22  1 3 0
38.46  17  0 4 1
40.99  100  1 3 1
48.81  19  2 0 0
49.13  19  0 0 2
64.63  18  1 7 1

---

Entry 2:
Diffraction record for Sr2Mg2Ag. The powder X-ray diffraction pattern is simulated, not measured: it uses DFT lattice parameters and positions (GGA-PBE) and Cu Kα, 1.54184 Å.
Intensities are scaled so that the largest is 100.

Structural model:
```
data_Sr2Mg2Ag
_space_group_name_H-M_alt 'C 1 2/c 1'
_space_group_IT_number 15
_space_group_name_Hall '-C 2yc'
_cell_length_a 12.038
_cell_length_b 7.147
_cell_length_c 7.846
_cell_angle_alpha 90.00
_cell_angle_beta 108.07
_cell_angle_gamma 90.00
loop_
_atom_site_label
_atom_site_type_symbol
_atom_site_fract_x
_atom_site_fract_y
_atom_site_fract_z
Sr1 Sr 0.161 0.085 0.141
Mg1 Mg 0.095 0.386 0.459
Ag1 Ag 0.000 0.287 0.750
```

Main lines, low angle first (2θ = 15–90°):
Position (°2θ)  I (rel.)  h k l
17.27  62  1 1 -1
25.90  100  3 1 -1
26.49  71  3 1 0
27.68  55  0 2 1
30.13  43  1 1 2
32.03  65  3 1 1
33.02  53  4 0 -2
34.94  40  2 2 -2
36.74  56  1 1 -3
41.29  50  1 3 1

---

Entry 3:
Diffraction record for LiLa2CuPd2. The powder X-ray diffraction pattern is simulated, not measured: it uses DFT lattice parameters and positions (GGA-PBE) and Cu Kα, 1.54184 Å.
Intensities are scaled so that the largest is 100.

Structural model:
```
data_LiLa2CuPd2
_space_group_name_H-M_alt 'I b a m'
_space_group_IT_number 72
_space_group_name_Hall '-I 2 2c'
_cell_length_a 5.868
_cell_length_b 15.324
_cell_length_c 5.848
_cell_angle_alpha 90.00
_cell_angle_beta 90.00
_cell_angle_gamma 90.00
loop_
_atom_site_label
_atom_site_type_symbol
_atom_site_fract_x
_atom_site_fract_y
_atom_site_fract_z
Li1 Li 0.000 0.000 0.250
La1 La 0.238 0.340 0.000
Cu1 Cu 0.000 0.500 0.250
Pd1 Pd 0.244 0.122 0.000
```

Main lines, low angle first (2θ = 15–90°):
Position (°2θ)  I (rel.)  h k l
23.22  84  0 4 0
30.47  71  2 0 0
30.58  71  0 0 2
31.82  73  1 4 1
32.73  46  0 2 2
38.66  100  2 4 0
38.74  95  0 4 2
43.71  97  2 0 2
50.07  41  2 4 2
52.65  31  1 8 1